Theoretical X-ray diffraction stick pattern
Compound: CsMg6WO8
Radiation: Cu Kα X-rays
Structure: the PBE+U geometry in the Materials Project

Cell and atoms:
```
data_CsMg6WO8
_chemical_formula_sum 'Cs1 Mg6 W1 O8'
_space_group_name_H-M_alt 'P 1'
_space_group_IT_number 1
_cell_length_a 4.706
_cell_length_b 4.706
_cell_length_c 9.022
_cell_angle_alpha 90.00
_cell_angle_beta 90.00
_cell_angle_gamma 90.00
loop_
_space_group_symop_operation_xyz
'x,y,z'
loop_
_atom_site_label
_atom_site_type_symbol
_atom_site_fract_x
_atom_site_fract_y
_atom_site_fract_z
Cs1 Cs 0.000 0.000 0.000
Mg1 Mg 0.000 0.000 0.500
Mg2 Mg 0.000 0.500 0.270
Mg3 Mg 0.000 0.500 0.730
Mg4 Mg 0.500 0.000 0.270
Mg5 Mg 0.500 0.000 0.730
Mg6 Mg 0.500 0.500 0.500
W1 W 0.500 0.500 0.000
O1 O 0.000 0.000 0.289
O2 O 0.000 0.000 0.711
O3 O 0.000 0.500 0.000
O4 O 0.000 0.500 0.500
O5 O 0.500 0.000 0.000
O6 O 0.500 0.000 0.500
O7 O 0.500 0.500 0.252
O8 O 0.500 0.500 0.748
```

Top 12 peaks for 10 to 80 degrees two-theta, by intensity:
2θ/deg	Rel. int.
38.2	100
33.5	89
28.6	85
56.5	54
19.7	54
26.8	48
40.0	40
55.2	32
66.1	29
39.6	29
40.4	29
29.7	29